For LiCo5O7F, a cell relaxed with GGA+U gives the computed X-ray powder pattern in this record (Cu Kα).

Top 10 peaks for 2θ = 15–90°, in order of rising 2θ:
Position (°2θ)  Rel. int.  index
18.2  100.0  1 0 0
18.7  40.6  -1 1 1
35.0  22.0  1 1 1
35.3  43.4  0 1 3
35.4  37.0  1 1 -3
35.6  79.5  1 -2 2
36.1  32.7  -2 1 3
42.8  35.2  0 2 2
43.4  66.1  2 0 -4
63.3  35.2  -2 2 6

Crystal structure
Lattice parameters (Å, degrees): 5.848 5.879 10.263 90.68 105.80 118.61
Space group P1 (No. 1)
One atom of each set of equivalent atoms:
Li1 0.000 0.000 0.000
Li2 0.003 0.508 0.504
Co1 0.113 0.587 0.197
Co2 0.118 0.100 0.700
Co3 0.226 0.660 0.888
Co4 0.233 0.163 0.388
Co5 0.603 0.085 0.199
Co6 0.604 0.844 0.445
Co7 0.605 0.585 0.699
Co8 0.607 0.339 0.944
Co9 0.616 0.580 0.195
Co10 0.617 0.084 0.695
O1 0.362 0.494 0.315
O2 0.368 0.461 0.824
O3 0.368 0.710 0.092
O4 0.370 0.001 0.816
O5 0.373 0.228 0.592
O6 0.379 0.967 0.323
O7 0.410 0.222 0.071
O8 0.411 0.724 0.579
O9 0.815 0.448 0.816
O10 0.828 0.948 0.321
O11 0.859 0.937 0.796
O12 0.861 0.457 0.298
O13 0.861 0.660 0.072
O14 0.865 0.179 0.584
F1 0.858 0.187 0.071
F2 0.860 0.705 0.562

---

For VCo3O8, a cell relaxed with GGA+U gives the computed X-ray powder pattern in this record (Cu Kα).

Top 10 peaks for 2θ = 15–90°, in order of rising 2θ:
Position (°2θ)  Rel. int.  index
20.1  84.3  0 0 2
20.7  100.0  1 0 1
27.2  27.4  1 0 2
35.5  33.0  1 0 3
37.7  39.7  1 1 2
38.1  61.3  2 0 1
42.1  39.0  2 0 2
48.3  59.6  2 0 3
65.0  39.7  2 0 5
65.9  35.9  2 2 0

Crystal structure
Lattice parameters (Å, degrees): 5.6682 5.6682 8.8351 90.00 90.00 120.00
Space group P6_3mc (No. 186)
One atom of each set of equivalent atoms:
V1 0.3333 0.6667 0.0000
Co1 0.1705 0.3409 0.7151
O1 0.0000 0.0000 0.3092
O2 0.0401 0.5200 0.8335
O3 0.1737 0.3473 0.0957
O4 0.3333 0.6667 0.6042